No. 1
The following is a calculated powder diffraction line list of Na3W4O12. It was derived from DFT lattice parameters and positions (PBE+U), using Cu Kα (λ = 1.5418 Å).
Lines closer than 0.1° are merged.

Most intense lines, 10 to 90 degrees two-theta, low angle first:
hkl  2theta  I_rel
2 0 -2  22.7  78
0 2 0  22.8  38
2 2 2  32.3  100
0 2 4  39.9  17
2 0 -6  52.1  16
6 2 2  57.6  28

Lattice parameters (Å, degrees): 11.089 7.806 11.089 90.00 90.17 90.00
Space group Cm (No. 8)
Inequivalent atoms, fractional coordinates:
Na 0.000 0.000 0.000 (multiplicity 2)
Na 0.000 0.500 0.001 (multiplicity 2)
Na 0.247 0.000 0.750 (multiplicity 2)
Na 0.250 0.500 0.254 (multiplicity 2)
Na 0.251 0.000 0.254 (multiplicity 2)
Na 0.499 0.000 0.505 (multiplicity 2)
W 0.000 0.249 0.751 (multiplicity 4)
W 0.249 0.251 0.505 (multiplicity 4)
W 0.250 0.251 0.000 (multiplicity 4)
W 0.499 0.252 0.254 (multiplicity 4)
O 0.003 0.500 0.778 (multiplicity 2)
O 0.005 0.000 0.277 (multiplicity 2)
O 0.110 0.275 0.616 (multiplicity 4)
O 0.111 0.224 0.112 (multiplicity 4)
O 0.135 0.213 0.861 (multiplicity 4)
O 0.137 0.279 0.359 (multiplicity 4)
O 0.226 0.500 0.993 (multiplicity 2)
O 0.229 0.000 0.498 (multiplicity 2)
O 0.267 0.500 0.505 (multiplicity 2)
O 0.276 0.000 0.015 (multiplicity 2)
O 0.363 0.216 0.646 (multiplicity 4)
O 0.363 0.283 0.145 (multiplicity 4)
O 0.386 0.217 0.389 (multiplicity 4)
O 0.391 0.270 0.893 (multiplicity 4)
O 0.494 0.500 0.729 (multiplicity 2)
O 0.495 0.000 0.223 (multiplicity 2)

No. 2
The following is a calculated powder diffraction line list of LaAgMo2O8. It was derived from DFT lattice parameters and positions (PBE+U), using Cu Kα (λ = 1.5418 Å).
Lines closer than 0.1° are merged.

Most intense lines, 10 to 90 degrees two-theta, low angle first:
hkl  2theta  I_rel
1 0 0  16.6  41
0 1 1  21.1  84
1 1 0  28.9  100
1 0 2  31.1  78
0 2 2  43.0  47
2 1 2  52.6  34

Lattice parameters (Å, degrees): 6.1833 6.1833 6.8140 90.00 90.00 120.00
Space group P-3m1 (No. 164)
Inequivalent atoms, fractional coordinates:
La 0.0000 0.0000 0.0000 (multiplicity 1)
Ag 0.0000 0.0000 0.5000 (multiplicity 1)
Mo 0.3333 0.6667 0.3129 (multiplicity 2)
O 0.1719 0.3439 0.2274 (multiplicity 6)
O 0.3333 0.6667 0.5677 (multiplicity 2)